Computed powder diffractogram of PdSeS for Cu Kα X-rays, from a GGA-PBE-relaxed structure.
Kinematic intensities with the Lorentz-polarization factor, no thermal factor.

Crystal structure
```
PdSeS
1.0
6.121 0.000 0.000
0.000 6.121 0.000
0.000 0.000 6.121
Pd Se S
4 4 4
Direct
0.007 0.493 0.507
0.493 0.507 0.007
0.507 0.007 0.493
0.993 0.993 0.993
0.108 0.892 0.392
0.392 0.108 0.892
0.608 0.608 0.608
0.892 0.392 0.108
0.104 0.604 0.896
0.396 0.396 0.396
0.604 0.896 0.104
0.896 0.104 0.604
```

Top 10 peaks for 2θ = 5–70°, sorted by position:
| hkl | 2theta | Rel. int. |
| --- | --- | --- |
| 1 1 1 | 25.2 | 32 |
| 2 0 0 | 29.2 | 100 |
| 2 1 0 | 32.7 | 55 |
| 2 1 1 | 35.9 | 37 |
| 2 2 0 | 41.7 | 53 |
| 3 1 1 | 49.4 | 96 |
| 2 2 2 | 51.7 | 20 |
| 3 0 2 | 54.0 | 18 |
| 3 2 1 | 56.2 | 24 |
| 3 3 1 | 66.6 | 18 |